This entry pairs a crystal structure of K2NdTeSe4 with its computed powder XRD pattern. Radiation: Cu Kα X-rays. Structure: DFT lattice parameters and positions (GGA-PBE).

Lattice parameters (Å, degrees): 8.741 8.741 8.739 117.49 117.49 89.92
Fractional positions:
K 0.000 0.000 0.000
K 0.000 0.000 0.500
K 0.000 0.500 0.000
K 0.500 0.000 0.500
Nd 0.500 0.500 0.000
Nd 0.500 0.500 0.500
Te 0.000 0.500 0.500
Te 0.500 0.000 0.000
Se 0.231 0.709 0.490
Se 0.261 0.298 0.543
Se 0.291 0.769 0.010
Se 0.298 0.261 0.043
Se 0.702 0.739 0.957
Se 0.709 0.231 0.990
Se 0.739 0.702 0.457
Se 0.769 0.291 0.510

The 8 most intense peaks (2θ from 10° to 80°), by intensity:
Position (°2θ)	I (rel.)
28.93	100
26.92	61
41.39	52
39.92	39
11.85	39
12.43	25
48.77	19
38.41	19